# 1
Theoretical X-ray diffraction stick pattern
Compound: TiBe9Pd2
Radiation: CuKα
Structure: the PBE geometry in Alexandria

Structural model:
```
TiBe9Pd2
1.0
4.394 0.000 0.000
-2.197 3.805 0.000
0.000 0.000 13.918
Ti Be Pd
2 18 4
direct
0.333 0.667 0.250
0.667 0.333 0.750
0.000 0.000 0.000
0.000 0.000 0.250
0.000 0.000 0.500
0.000 0.000 0.750
0.168 0.336 0.625
0.168 0.336 0.875
0.168 0.832 0.625
0.168 0.832 0.875
0.333 0.667 0.750
0.336 0.168 0.125
0.336 0.168 0.375
0.664 0.832 0.625
0.664 0.832 0.875
0.667 0.333 0.250
0.832 0.168 0.125
0.832 0.168 0.375
0.832 0.664 0.125
0.832 0.664 0.375
0.333 0.667 0.044
0.333 0.667 0.456
0.667 0.333 0.544
0.667 0.333 0.956
```

Peak list (8 most intense, 10° ≤ 2θ ≤ 80°, by angle)
2θ (°)	I/Imax
12.7	89
23.4	55
24.2	46
30.4	37
40.1	100
41.1	66
49.0	32
51.9	34

***

# 2
Theoretical X-ray diffraction stick pattern
Compound: TiBe8Pd3
Radiation: CuKα
Structure: the PBE geometry in Alexandria

Structural model:
```
TiBe8Pd3
1.0
4.423 0.000 0.000
-2.211 3.830 0.000
0.000 0.000 7.264
Ti Be Pd
1 8 3
direct
0.000 0.000 0.000
0.164 0.329 0.685
0.164 0.836 0.685
0.333 0.667 0.446
0.333 0.667 0.940
0.500 0.001 0.200
0.500 0.500 0.200
0.671 0.836 0.685
0.999 0.500 0.200
0.000 0.000 0.360
0.667 0.333 0.514
0.667 0.333 0.903
```

Peak list (8 most intense, 10° ≤ 2θ ≤ 80°, by angle)
2θ (°)	I/Imax
23.2	96
24.5	48
26.3	73
34.0	59
40.8	98
44.3	100
48.2	67
76.7	38

***

# 3
Theoretical X-ray diffraction stick pattern
Compound: BeTl2Pd6
Radiation: CuKα
Structure: the PBE geometry in Alexandria

Structural model:
```
BeTl2Pd6
1.0
-1.580 3.701 6.746
1.580 -3.701 6.746
1.580 3.701 -6.746
Be Tl Pd
1 2 6
direct
0.000 0.000 0.000
0.356 0.356 0.000
0.644 0.644 0.000
0.017 0.832 0.185
0.215 0.500 0.715
0.353 0.168 0.185
0.647 0.832 0.815
0.785 0.500 0.285
0.983 0.168 0.815
```

Peak list (8 most intense, 10° ≤ 2θ ≤ 80°, by angle)
2θ (°)	I/Imax
23.1	20
30.8	46
36.0	17
37.0	33
40.1	34
41.0	34
41.8	30
42.7	100